Entry 1:
The following is a calculated X-ray diffraction stick pattern of Ac2S3. It was derived from a crystal structure in Alexandria, relaxed with PBE, using Cu Kα, 1.54184 Å.
Neutral-atom scattering factors, no anomalous dispersion.

Main lines, low angle first (5° ≤ 2θ ≤ 70°):
| Position (°2θ) | I (rel.) |
| --- | --- |
| 22.0 | 100 |
| 22.2 | 43 |
| 23.5 | 54 |
| 24.4 | 61 |
| 24.9 | 55 |
| 27.1 | 37 |
| 27.2 | 48 |
| 30.4 | 33 |
| 32.6 | 51 |
| 38.4 | 32 |
| 40.9 | 33 |
| 42.2 | 34 |

```
data_Ac2S3
_cell_length_a 11.578
_cell_length_b 4.286
_cell_length_c 11.282
_cell_angle_alpha 90.00
_cell_angle_beta 90.00
_cell_angle_gamma 90.00
_symmetry_space_group_name_H-M 'P n m a'
_symmetry_Int_Tables_number 62
loop_
_symmetry_equiv_pos_as_xyz
'x,y,z'
'-x,-y,-z'
'-x+1/2,-y,z+1/2'
'x+1/2,y,-z+1/2'
'x+1/2,-y+1/2,-z+1/2'
'-x+1/2,y+1/2,z+1/2'
'-x,y+1/2,-z'
'x,-y+1/2,z'
loop_
_atom_site_label
_atom_site_type_symbol
_atom_site_fract_x
_atom_site_fract_y
_atom_site_fract_z
_atom_site_occupancy
Ac1 Ac 0.006 0.250 0.186 1
Ac2 Ac 0.190 0.250 0.508 1
S1 S 0.047 0.750 0.374 1
S2 S 0.120 0.250 0.945 1
S3 S 0.230 0.750 0.699 1
```


Entry 2:
The following is a calculated X-ray diffraction stick pattern of GaPHPtS. It was derived from a crystal structure in Alexandria, relaxed with PBE, using Cu Kα, 1.54184 Å.
Neutral-atom scattering factors, no anomalous dispersion.

Main lines, low angle first (5° ≤ 2θ ≤ 70°):
| Position (°2θ) | I (rel.) |
| --- | --- |
| 14.4 | 48 |
| 26.0 | 24 |
| 27.3 | 100 |
| 27.5 | 50 |
| 28.9 | 48 |
| 32.1 | 37 |
| 32.2 | 18 |
| 44.9 | 20 |
| 45.2 | 39 |
| 47.2 | 44 |
| 54.6 | 33 |
| 56.3 | 21 |

```
data_GaPHPtS
_cell_length_a 6.938
_cell_length_b 4.034
_cell_length_c 6.589
_cell_angle_alpha 90.00
_cell_angle_beta 110.58
_cell_angle_gamma 90.00
_symmetry_space_group_name_H-M 'C 1 m 1'
_symmetry_Int_Tables_number 8
loop_
_symmetry_equiv_pos_as_xyz
'x,y,z'
'x,-y,z'
'x+1/2,y+1/2,z'
'x+1/2,-y+1/2,z'
loop_
_atom_site_label
_atom_site_type_symbol
_atom_site_fract_x
_atom_site_fract_y
_atom_site_fract_z
_atom_site_occupancy
Ga1 Ga 0.000 0.000 0.000 1
P1 P 0.128 0.000 0.382 1
H1 H 0.400 0.000 0.192 1
Pt1 Pt 0.485 0.000 0.449 1
S1 S 0.116 0.500 0.848 1
```